# 1
# Tb6Ho8Mg
Calculated X-ray powder pattern, λ = 1.5418 Å (Cu Kα). Input: DFT lattice parameters and positions (PBE).
Kinematic intensities with the Lorentz-polarization factor, no thermal factor.

Structure:
a = 8.5172 Å, b = 8.5172 Å, c = 8.5172 Å
α = 63.59°, β = 63.59°, γ = 63.59°
Sites, in units of the cell vectors:
Tb: 0.0465 0.7293 0.6066
Tb: 0.2707 0.3934 0.9535
Tb: 0.3934 0.9535 0.2707
Tb: 0.6066 0.0465 0.7293
Tb: 0.7293 0.6066 0.0465
Tb: 0.9535 0.2707 0.3934
Ho: 0.0761 0.0761 0.0761
Ho: 0.2175 0.2443 0.6082
Ho: 0.2443 0.6082 0.2175
Ho: 0.3918 0.7825 0.7557
Ho: 0.6082 0.2175 0.2443
Ho: 0.7557 0.3918 0.7825
Ho: 0.7825 0.7557 0.3918
Ho: 0.9239 0.9239 0.9239
Mg: 0.5000 0.5000 0.5000

Top 8 peaks for 2θ = 15–90°, sorted by position:
2θ (°)	d [Å]	I_rel
30.8	2.907	46
31.7	2.822	100
31.9	2.806	65
33.0	2.715	46
33.2	2.700	23
35.3	2.542	19
37.2	2.419	23
53.9	1.700	22



# 2
# Tb5Ho4Mg2
Calculated X-ray powder pattern, λ = 1.5418 Å (Cu Kα). Input: DFT lattice parameters and positions (PBE).
Kinematic intensities with the Lorentz-polarization factor, no thermal factor.

Structure:
a = 12.4105 Å, b = 12.4105 Å, c = 12.4105 Å
α = 164.20°, β = 138.42°, γ = 44.74°
Sites, in units of the cell vectors:
Tb: 0.0000 0.0000 0.0000
Tb: 0.0573 0.3591 0.6982
Tb: 0.3391 0.6409 0.6982
Tb: 0.6609 0.3591 0.3018
Tb: 0.9427 0.6409 0.3018
Ho: 0.2684 0.7684 0.5000
Ho: 0.3196 0.5000 0.8196
Ho: 0.6804 0.5000 0.1804
Ho: 0.7316 0.2316 0.5000
Mg: 0.4021 0.9021 0.5000
Mg: 0.5979 0.0979 0.5000

Top 8 peaks for 2θ = 15–90°, sorted by position:
2θ (°)	d [Å]	I_rel
25.5	3.494	59
29.1	3.068	100
31.0	2.888	33
31.2	2.869	52
32.7	2.741	82
33.4	2.679	79
38.1	2.364	52
43.6	2.075	51



# 3
# Tb3HoMg12
Calculated X-ray powder pattern, λ = 1.5418 Å (Cu Kα). Input: DFT lattice parameters and positions (PBE).
Kinematic intensities with the Lorentz-polarization factor, no thermal factor.

Structure:
a = 4.6325 Å, b = 4.6325 Å, c = 19.0128 Å
α = 90.00°, β = 90.00°, γ = 90.00°
Sites, in units of the cell vectors:
Tb: 0.0000 0.0000 0.0000
Tb: 0.0000 0.0000 0.2506
Tb: 0.0000 0.0000 0.7494
Ho: 0.0000 0.0000 0.5000
Mg: 0.0000 0.5000 0.1254
Mg: 0.0000 0.5000 0.3757
Mg: 0.0000 0.5000 0.6243
Mg: 0.0000 0.5000 0.8746
Mg: 0.5000 0.0000 0.1254
Mg: 0.5000 0.0000 0.3757
Mg: 0.5000 0.0000 0.6243
Mg: 0.5000 0.0000 0.8746
Mg: 0.5000 0.5000 0.0000
Mg: 0.5000 0.5000 0.2513
Mg: 0.5000 0.5000 0.5000
Mg: 0.5000 0.5000 0.7487

Top 8 peaks for 2θ = 15–90°, sorted by position:
2θ (°)	d [Å]	I_rel
18.7	4.753	32
19.2	4.633	61
26.9	3.318	54
27.2	3.276	26
33.2	2.697	100
38.9	2.316	32
47.9	1.899	23
66.8	1.400	26



# 4
# Tb5Ho2Mg5
Calculated X-ray powder pattern, λ = 1.5418 Å (Cu Kα). Input: DFT lattice parameters and positions (PBE).
Kinematic intensities with the Lorentz-polarization factor, no thermal factor.

Structure:
a = 5.3380 Å, b = 6.4642 Å, c = 10.8089 Å
α = 90.00°, β = 90.04°, γ = 114.38°
Sites, in units of the cell vectors:
Tb: 0.0000 0.0000 0.0000
Tb: 0.3442 0.6883 0.4874
Tb: 0.4784 0.9574 0.7713
Tb: 0.5216 0.0426 0.2287
Tb: 0.6558 0.3117 0.5126
Ho: 0.1716 0.3433 0.7478
Ho: 0.8284 0.6567 0.2522
Mg: 0.0000 0.0000 0.5000
Mg: 0.1594 0.3178 0.2728
Mg: 0.3070 0.6144 0.0327
Mg: 0.6930 0.3856 0.9673
Mg: 0.8406 0.6822 0.7272

Top 8 peaks for 2θ = 15–90°, sorted by position:
2θ (°)	d [Å]	I_rel
17.2	5.170	16
20.0	4.434	30
30.9	2.895	27
32.8	2.729	100
33.2	2.702	23
33.6	2.669	26
47.9	1.899	17
59.6	1.552	18